Entry 1:
Structure and simulated powder diffraction line list of SrCuNi2 (a crystal structure in Alexandria, relaxed with GGA-PBE; Cu Kα, 1.54184 Å).
Peak positions follow from Bragg's law for the DFT cell and can differ from measured ones.

Most intense lines, 2θ = 10–80°, in order of rising 2θ:
2θ 16.6, d = 5.329 Å, I 62
2θ 30.4, d = 2.936 Å, I 18
2θ 33.7, d = 2.660 Å, I 62
2θ 35.0, d = 2.567 Å, I 65
2θ 36.1, d = 2.490 Å, I 100
2θ 45.2, d = 2.005 Å, I 43
2θ 45.6, d = 1.989 Å, I 52
2θ 52.0, d = 1.759 Å, I 55
2θ 55.4, d = 1.660 Å, I 20
2θ 59.1, d = 1.562 Å, I 28

Cell and atoms:
Lattice parameters (Å, degrees): 7.036 4.009 10.657 90.00 90.00 90.00
Fractional coordinates of all 16 atoms:
Sr: 0.236 0.250 0.202
Sr: 0.264 0.750 0.702
Sr: 0.736 0.250 0.298
Sr: 0.764 0.750 0.798
Cu: 0.068 0.750 0.442
Cu: 0.432 0.250 0.942
Cu: 0.568 0.750 0.058
Cu: 0.932 0.250 0.558
Ni: 0.072 0.250 0.949
Ni: 0.246 0.750 0.975
Ni: 0.254 0.250 0.475
Ni: 0.428 0.750 0.449
Ni: 0.572 0.250 0.551
Ni: 0.746 0.750 0.525
Ni: 0.754 0.250 0.025
Ni: 0.928 0.750 0.051

***

Entry 2:
Structure and simulated powder diffraction line list of Rb2Hg2PdBr8 (a crystal structure in Alexandria, relaxed with GGA-PBE; Cu Kα, 1.54184 Å).
Peak positions follow from Bragg's law for the DFT cell and can differ from measured ones.

Most intense lines, 2θ = 10–80°, in order of rising 2θ:
2θ 14.1, d = 6.264 Å, I 54
2θ 15.0, d = 5.896 Å, I 37
2θ 17.8, d = 4.970 Å, I 37
2θ 23.9, d = 3.723 Å, I 40
2θ 25.5, d = 3.497 Å, I 43
2θ 25.9, d = 3.439 Å, I 40
2θ 27.7, d = 3.223 Å, I 100
2θ 30.9, d = 2.896 Å, I 97
2θ 42.7, d = 2.120 Å, I 35
2θ 44.4, d = 2.039 Å, I 47

Cell and atoms:
Lattice parameters (Å, degrees): 7.149 7.149 10.728 105.62 105.62 62.77
Fractional coordinates of all 13 atoms:
Rb: 0.105 0.105 0.335
Rb: 0.895 0.895 0.665
Hg: 0.368 0.368 0.115
Hg: 0.632 0.632 0.885
Pd: 0.500 0.500 0.500
Br: 0.135 0.604 0.369
Br: 0.155 0.155 0.010
Br: 0.396 0.865 0.631
Br: 0.416 0.416 0.808
Br: 0.584 0.584 0.192
Br: 0.604 0.135 0.369
Br: 0.845 0.845 0.990
Br: 0.865 0.396 0.631

***

Entry 3:
Structure and simulated powder diffraction line list of BaSrHf2O6 (a crystal structure in Alexandria, relaxed with GGA-PBE; Cu Kα, 1.54184 Å).
Peak positions follow from Bragg's law for the DFT cell and can differ from measured ones.

Most intense lines, 2θ = 10–80°, in order of rising 2θ:
2θ 21.4, d = 4.147 Å, I 11
2θ 30.3, d = 2.948 Å, I 100
2θ 30.5, d = 2.933 Å, I 51
2θ 43.2, d = 2.095 Å, I 15
2θ 43.7, d = 2.074 Å, I 28
2θ 53.8, d = 1.705 Å, I 21
2θ 54.1, d = 1.696 Å, I 42
2θ 63.1, d = 1.474 Å, I 18
2θ 71.2, d = 1.324 Å, I 9
2θ 72.0, d = 1.312 Å, I 18

Cell and atoms:
Lattice parameters (Å, degrees): 5.895 5.895 5.895 120.34 120.34 89.41
Fractional coordinates of all 10 atoms:
Ba: 0.000 0.000 0.000
Sr: 0.500 0.500 0.000
Hf: 0.250 0.750 0.500
Hf: 0.750 0.250 0.500
O: 0.000 0.500 0.500
O: 0.045 0.474 0.000
O: 0.474 0.045 0.000
O: 0.500 0.000 0.500
O: 0.526 0.526 0.570
O: 0.955 0.955 0.430

***

Entry 4:
Structure and simulated powder diffraction line list of Pm6Pr2YEr (a crystal structure in Alexandria, relaxed with GGA-PBE; Cu Kα, 1.54184 Å).
Peak positions follow from Bragg's law for the DFT cell and can differ from measured ones.

Most intense lines, 2θ = 10–80°, in order of rising 2θ:
2θ 28.0, d = 3.184 Å, I 51
2θ 29.9, d = 2.990 Å, I 73
2θ 30.1, d = 2.967 Å, I 100
2θ 30.6, d = 2.923 Å, I 75
2θ 30.9, d = 2.893 Å, I 59
2θ 31.0, d = 2.882 Å, I 98
2θ 31.5, d = 2.836 Å, I 25
2θ 32.9, d = 2.720 Å, I 95
2θ 33.6, d = 2.667 Å, I 23
2θ 49.7, d = 1.836 Å, I 23

Cell and atoms:
Lattice parameters (Å, degrees): 8.984 8.984 9.833 94.24 94.24 118.42
Fractional coordinates of all 20 atoms:
Pm: 0.018 0.575 0.190
Pm: 0.126 0.752 0.555
Pm: 0.248 0.874 0.945
Pm: 0.290 0.499 0.381
Pm: 0.425 0.982 0.310
Pm: 0.499 0.290 0.881
Pm: 0.501 0.710 0.119
Pm: 0.575 0.018 0.690
Pm: 0.710 0.501 0.619
Pm: 0.752 0.126 0.055
Pm: 0.874 0.248 0.445
Pm: 0.982 0.425 0.810
Pr: 0.195 0.301 0.042
Pr: 0.301 0.195 0.542
Pr: 0.699 0.805 0.458
Pr: 0.805 0.699 0.958
Y: 0.019 0.981 0.250
Y: 0.981 0.019 0.750
Er: 0.408 0.592 0.750
Er: 0.592 0.408 0.250

***

Entry 5:
Structure and simulated powder diffraction line list of Y4UP5 (a crystal structure in Alexandria, relaxed with GGA-PBE; Cu Kα, 1.54184 Å).
Peak positions follow from Bragg's law for the DFT cell and can differ from measured ones.

Most intense lines, 2θ = 10–80°, in order of rising 2θ:
2θ 16.3, d = 5.434 Å, I 10
2θ 27.3, d = 3.263 Å, I 65
2θ 31.7, d = 2.826 Å, I 100
2θ 45.2, d = 2.004 Å, I 12
2θ 45.4, d = 1.997 Å, I 60
2θ 53.7, d = 1.707 Å, I 11
2θ 53.8, d = 1.703 Å, I 21
2θ 56.3, d = 1.634 Å, I 12
2θ 56.5, d = 1.629 Å, I 12
2θ 75.2, d = 1.263 Å, I 21

Cell and atoms:
Lattice parameters (Å, degrees): 10.600 10.600 10.600 158.31 149.11 38.06
Fractional coordinates of all 10 atoms:
Y: 0.101 0.101 0.000
Y: 0.299 0.299 0.000
Y: 0.701 0.701 0.000
Y: 0.899 0.899 0.000
U: 0.500 0.500 0.000
P: 0.000 0.500 0.500
P: 0.200 0.700 0.500
P: 0.403 0.903 0.500
P: 0.597 0.097 0.500
P: 0.800 0.300 0.500

***

Entry 6:
Structure and simulated powder diffraction line list of In4GaSn2Hg (a crystal structure in Alexandria, relaxed with GGA-PBE; Cu Kα, 1.54184 Å).
Peak positions follow from Bragg's law for the DFT cell and can differ from measured ones.

Most intense lines, 2θ = 10–80°, in order of rising 2θ:
2θ 29.5, d = 3.030 Å, I 58
2θ 31.2, d = 2.870 Å, I 100
2θ 35.0, d = 2.564 Å, I 37
2θ 43.4, d = 2.084 Å, I 81
2θ 46.4, d = 1.957 Å, I 33
2θ 60.4, d = 1.533 Å, I 15
2θ 61.7, d = 1.503 Å, I 14
2θ 68.6, d = 1.368 Å, I 20
2θ 70.2, d = 1.340 Å, I 19
2θ 73.0, d = 1.297 Å, I 17

Cell and atoms:
Lattice parameters (Å, degrees): 8.661 8.661 8.661 132.87 107.41 91.18
Fractional coordinates of all 16 atoms:
In: 0.245 0.243 0.002
In: 0.250 0.239 0.489
In: 0.250 0.762 0.011
In: 0.259 0.757 0.502
In: 0.741 0.243 0.498
In: 0.750 0.238 0.989
In: 0.750 0.761 0.511
In: 0.755 0.757 0.998
Ga: 0.000 0.000 0.000
Ga: 0.500 0.000 0.500
Sn: 0.000 0.000 0.500
Sn: 0.000 0.500 0.000
Sn: 0.000 0.500 0.500
Sn: 0.500 0.500 0.000
Hg: 0.500 0.000 0.000
Hg: 0.500 0.500 0.500

***

Entry 7:
Structure and simulated powder diffraction line list of Sc3AlO (a crystal structure in Alexandria, relaxed with GGA-PBE; Cu Kα, 1.54184 Å).
Peak positions follow from Bragg's law for the DFT cell and can differ from measured ones.

Most intense lines, 2θ = 10–80°, in order of rising 2θ:
2θ 13.0, d = 6.793 Å, I 99
2θ 26.2, d = 3.397 Å, I 38
2θ 30.4, d = 2.942 Å, I 23
2θ 33.2, d = 2.699 Å, I 78
2θ 37.4, d = 2.402 Å, I 84
2θ 39.8, d = 2.264 Å, I 100
2θ 43.5, d = 2.080 Å, I 59
2θ 55.8, d = 1.648 Å, I 25
2θ 64.9, d = 1.437 Å, I 23
2θ 67.6, d = 1.387 Å, I 55

Cell and atoms:
Lattice parameters (Å, degrees): 8.320 8.320 8.320 60.00 60.00 60.00
Fractional coordinates of all 20 atoms:
Sc: 0.065 0.065 0.685
Sc: 0.065 0.685 0.065
Sc: 0.065 0.685 0.685
Sc: 0.315 0.315 0.935
Sc: 0.315 0.935 0.315
Sc: 0.315 0.935 0.935
Sc: 0.685 0.065 0.065
Sc: 0.685 0.065 0.685
Sc: 0.685 0.685 0.065
Sc: 0.935 0.315 0.315
Sc: 0.935 0.315 0.935
Sc: 0.935 0.935 0.315
Al: 0.000 0.500 0.500
Al: 0.500 0.000 0.500
Al: 0.500 0.500 0.000
Al: 0.500 0.500 0.500
O: 0.000 0.000 0.000
O: 0.000 0.000 0.500
O: 0.000 0.500 0.000
O: 0.500 0.000 0.000

***

Entry 8:
Structure and simulated powder diffraction line list of In2S2F (a crystal structure in Alexandria, relaxed with GGA-PBE; Cu Kα, 1.54184 Å).
Peak positions follow from Bragg's law for the DFT cell and can differ from measured ones.

Most intense lines, 2θ = 10–80°, in order of rising 2θ:
2θ 13.8, d = 6.425 Å, I 100
2θ 25.1, d = 3.552 Å, I 18
2θ 27.3, d = 3.268 Å, I 30
2θ 27.8, d = 3.212 Å, I 30
2θ 29.6, d = 3.014 Å, I 17
2θ 33.4, d = 2.684 Å, I 23
2θ 43.6, d = 2.074 Å, I 13
2θ 45.2, d = 2.005 Å, I 18
2θ 46.2, d = 1.966 Å, I 12
2θ 47.9, d = 1.898 Å, I 10

Cell and atoms:
Lattice parameters (Å, degrees): 8.073 8.073 8.073 123.90 123.90 83.37
Fractional coordinates of all 10 atoms:
In: 0.229 0.000 0.229
In: 0.750 0.021 0.271
In: 0.750 0.479 0.729
In: 0.771 0.000 0.771
S: 0.469 0.212 0.257
S: 0.955 0.212 0.743
S: 0.962 0.205 0.243
S: 0.962 0.719 0.757
F: 0.438 0.938 0.500
F: 0.688 0.688 0.000

***

What did the fourth record say?
Structure and simulated powder diffraction line list of Pm6Pr2YEr (a crystal structure in Alexandria, relaxed with GGA-PBE; Cu Kα, 1.54184 Å).
Peak positions follow from Bragg's law for the DFT cell and can differ from measured ones.

Most intense lines, 2θ = 10–80°, in order of rising 2θ:
2θ 28.0, d = 3.184 Å, I 51
2θ 29.9, d = 2.990 Å, I 73
2θ 30.1, d = 2.967 Å, I 100
2θ 30.6, d = 2.923 Å, I 75
2θ 30.9, d = 2.893 Å, I 59
2θ 31.0, d = 2.882 Å, I 98
2θ 31.5, d = 2.836 Å, I 25
2θ 32.9, d = 2.720 Å, I 95
2θ 33.6, d = 2.667 Å, I 23
2θ 49.7, d = 1.836 Å, I 23

Cell and atoms:
Lattice parameters (Å, degrees): 8.984 8.984 9.833 94.24 94.24 118.42
Fractional coordinates of all 20 atoms:
Pm: 0.018 0.575 0.190
Pm: 0.126 0.752 0.555
Pm: 0.248 0.874 0.945
Pm: 0.290 0.499 0.381
Pm: 0.425 0.982 0.310
Pm: 0.499 0.290 0.881
Pm: 0.501 0.710 0.119
Pm: 0.575 0.018 0.690
Pm: 0.710 0.501 0.619
Pm: 0.752 0.126 0.055
Pm: 0.874 0.248 0.445
Pm: 0.982 0.425 0.810
Pr: 0.195 0.301 0.042
Pr: 0.301 0.195 0.542
Pr: 0.699 0.805 0.458
Pr: 0.805 0.699 0.958
Y: 0.019 0.981 0.250
Y: 0.981 0.019 0.750
Er: 0.408 0.592 0.750
Er: 0.592 0.408 0.250